Calculated PXRD pattern
Compound: Co2OF3
Radiation: a wavelength of 1.5418 Å
Structure: DFT lattice parameters and positions (PBE+U)

Crystal structure
Cell: 15.6576 4.7070 4.7070 Å, 93.37 90.00 90.00°
Fractional positions:
Co  0.0000  0.0000  0.0000
Co  0.1000  0.4724  0.4724
Co  0.1967  0.0105  0.0105
Co  0.2961  0.5475  0.5475
Co  0.3977  0.0120  0.0120
Co  0.5000  0.5463  0.5463
Co  0.6023  0.0120  0.0120
Co  0.7039  0.5475  0.5475
Co  0.8033  0.0105  0.0105
Co  0.9000  0.4724  0.4724
O  0.1076  0.1762  0.1762
O  0.2916  0.8215  0.8215
O  0.5000  0.8216  0.8216
O  0.7084  0.8215  0.8215
O  0.8924  0.1762  0.1762
F  0.0000  0.2824  0.6763
F  0.0000  0.6763  0.2824
F  0.1019  0.7830  0.7830
F  0.2033  0.3048  0.6965
F  0.2033  0.6965  0.3048
F  0.2995  0.2290  0.2290
F  0.3939  0.3239  0.7161
F  0.3939  0.7161  0.3239
F  0.5000  0.2355  0.2355
F  0.6061  0.3239  0.7161
F  0.6061  0.7161  0.3239
F  0.7005  0.2290  0.2290
F  0.7967  0.3048  0.6965
F  0.7967  0.6965  0.3048
F  0.8981  0.7830  0.7830

Principal peaks in the range 2θ from 10° to 90°, low angle first:
26.0°, I = 91.8; 27.6°, I = 74.8; 34.4°, I = 100.0; 51.5°, I = 62.0; 53.3°, I = 38.8; 66.8°, I = 31.3